NaCuPdSe3: theoretical X-ray diffraction stick pattern (a wavelength of 1.5418 Å), based on the PBE geometry in OQMD.
Kinematic intensities with the Lorentz-polarization factor, no thermal factor.

Principal peaks in the range 10° ≤ 2θ ≤ 80°, in order of rising 2θ:
2θ/deg, d (Å), I (rel.)
10.93, 8.098, 98.1
31.53, 2.837, 100.0
34.89, 2.571, 67.3
39.88, 2.261, 47.7
47.62, 1.909, 34.9
48.37, 1.882, 30.1
50.96, 1.792, 26.5
60.38, 1.533, 26.3

Structural model:
Cell: 16.1646 3.8191 8.4842 Å, 90.00 107.36 90.00°
Space group C2/m (No. 12)
One atom of each set of equivalent atoms:
Na1 0.1407 0.0000 0.0624 (multiplicity 4)
Cu1 0.0063 0.5000 0.7144 (multiplicity 4)
Pd1 0.1731 0.0000 0.5947 (multiplicity 4)
Se1 0.0000 0.0000 0.5000 (multiplicity 2)
Se2 0.0000 0.5000 0.0000 (multiplicity 2)
Se3 0.1567 0.5000 0.3922 (multiplicity 4)
Se4 0.1664 0.5000 0.7861 (multiplicity 4)